# 1
Diffraction record for NdSm6Er4. The X-ray diffraction stick pattern is calculated, not measured: it uses a structure optimized by DFT (GGA-PBE) and Cu Kα, 1.54184 Å.
Kinematic intensities with the Lorentz-polarization factor, no thermal factor.

Most intense lines, 2θ from 15° to 90°, in order of falling intensity:
2θ/deg  I_rel
31.8  100
30.8  85
30.2  73
33.1  71
30.5  65
32.0  51
43.9  49
54.3  25
55.3  22
57.2  20
56.0  17
56.2  16

Structural model:
a b c (Å): 5.639 5.639 25.797
angles (deg): 90.00 90.00 117.93
Sites, in units of the cell vectors:
Nd  0.208  0.792  0.750
Nd  0.792  0.208  0.250
Sm  0.126  0.874  0.181
Sm  0.126  0.874  0.319
Sm  0.200  0.800  0.600
Sm  0.200  0.800  0.900
Sm  0.455  0.545  0.250
Sm  0.500  0.500  0.000
Sm  0.500  0.500  0.500
Sm  0.545  0.455  0.750
Sm  0.800  0.200  0.100
Sm  0.800  0.200  0.400
Sm  0.874  0.126  0.681
Sm  0.874  0.126  0.819
Er  0.151  0.849  0.043
Er  0.151  0.849  0.457
Er  0.458  0.542  0.123
Er  0.458  0.542  0.377
Er  0.542  0.458  0.623
Er  0.542  0.458  0.877
Er  0.849  0.151  0.543
Er  0.849  0.151  0.957

=====

# 2
Diffraction record for LaInMo2. The X-ray diffraction stick pattern is calculated, not measured: it uses a structure optimized by DFT (GGA-PBE) and Cu Kα, 1.54184 Å.
Kinematic intensities with the Lorentz-polarization factor, no thermal factor.

Most intense lines, 2θ from 15° to 90°, in order of falling intensity:
2θ/deg  I_rel
36.9  100
35.1  33
64.1  19
36.2  17
27.0  13
51.3  13
56.9  12
66.8  10
54.9  9
33.3  7
78.5  7
44.8  7

Structural model:
a b c (Å): 3.057 3.057 9.915
angles (deg): 90.00 90.00 113.71
Sites, in units of the cell vectors:
La  0.000  0.000  0.000
In  0.500  0.500  0.303
Mo  0.000  0.000  0.548
Mo  0.500  0.500  0.738

=====

# 3
Diffraction record for NaNd2TmSe4. The X-ray diffraction stick pattern is calculated, not measured: it uses a structure optimized by DFT (GGA-PBE) and Cu Kα, 1.54184 Å.
Kinematic intensities with the Lorentz-polarization factor, no thermal factor.

Most intense lines, 2θ from 15° to 90°, in order of falling intensity:
2θ/deg  I_rel
30.3  100
43.5  25
43.4  25
54.1  13
43.1  12
43.7  12
80.0  8
63.0  8
53.8  7
53.5  6
79.4  6
15.1  6

Structural model:
a b c (Å): 7.212 4.144 7.244
angles (deg): 90.00 109.00 90.00
Sites, in units of the cell vectors:
Na  0.000  0.000  0.000
Nd  0.000  0.500  0.500
Nd  0.500  0.000  0.500
Tm  0.500  0.500  0.000
Se  0.253  0.500  0.241
Se  0.259  0.000  0.766
Se  0.741  0.000  0.234
Se  0.747  0.500  0.759

=====

Number 1 is which compound?
NdSm6Er4

=====

Number 3 is which compound?
NaNd2TmSe4